For Cs3MnF7, a structure optimized by DFT (GGA+U) gives the simulated powder diffractogram in this record (Cu Kα (weighted mean of Kα1 and Kα2)).

Structure:
```
Cs3MnF7
1.0
8.5708 0.0000 0.0000
0.0000 8.5708 0.0000
0.0000 0.0000 6.3284
Cs Mn F
6 2 14
Direct
0.0000 0.0000 0.0000
0.1930 0.3070 0.5000
0.3070 0.8070 0.5000
0.5000 0.5000 0.0000
0.6930 0.1930 0.5000
0.8070 0.6930 0.5000
0.0000 0.5000 0.0000
0.5000 0.0000 0.0000
0.0000 0.0000 0.5000
0.1071 0.6071 0.2087
0.1071 0.6071 0.7913
0.1526 0.3474 0.0000
0.3474 0.8474 0.0000
0.3929 0.1071 0.2087
0.3929 0.1071 0.7913
0.5000 0.5000 0.5000
0.6071 0.8929 0.2087
0.6071 0.8929 0.7913
0.6526 0.1526 0.0000
0.8474 0.6526 0.0000
0.8929 0.3929 0.2087
0.8929 0.3929 0.7913
```

Most intense lines, 2θ = 15–90°, by intensity:
| two_theta | d_spacing | I (rel.) |
| --- | --- | --- |
| 25.10 | 3.548 | 100 |
| 29.48 | 3.030 | 35 |
| 36.83 | 2.440 | 31 |
| 28.20 | 3.164 | 28 |
| 41.25 | 2.189 | 26 |
| 27.20 | 3.279 | 26 |
| 33.05 | 2.710 | 20 |
| 23.21 | 3.833 | 19 |
| 48.07 | 1.893 | 15 |
| 45.95 | 1.975 | 14 |

***

For LiV6O7F5, a structure optimized by DFT (GGA+U) gives the simulated powder diffractogram in this record (Cu Kα (weighted mean of Kα1 and Kα2)).

Structure:
```
LiV6O7F5
1.0
6.5883 0.0000 0.0000
0.0000 9.2848 0.0000
-6.5828 0.0000 7.0067
Li V O F
2 12 14 10
Direct
0.0000 0.2354 0.0000
0.0000 0.7646 0.5000
0.0033 0.9998 0.2419
0.0033 0.0002 0.7419
0.0366 0.3269 0.7638
0.0366 0.6731 0.2638
0.0427 0.3268 0.2851
0.0427 0.6732 0.7851
0.4600 0.4974 0.2277
0.4600 0.5026 0.7277
0.4761 0.1707 0.7242
0.4761 0.8293 0.2242
0.5202 0.1714 0.2484
0.5202 0.8286 0.7484
0.1910 0.4963 0.2474
0.1910 0.5037 0.7474
0.2047 0.1606 0.7429
0.2047 0.8394 0.2429
0.2130 0.1632 0.2472
0.2130 0.8368 0.7472
0.3025 0.3284 0.0501
0.3025 0.6716 0.5501
0.3092 0.3364 0.5557
0.3092 0.6636 0.0557
0.8121 0.1662 0.7523
0.8121 0.8338 0.2523
0.8185 0.1644 0.2529
0.8185 0.8356 0.7529
0.3088 0.0052 0.0460
0.3088 0.9948 0.5460
0.7003 0.3321 0.9424
0.7003 0.6679 0.4424
0.7034 0.0034 0.9384
0.7034 0.9966 0.4384
0.7081 0.3369 0.4483
0.7081 0.6631 0.9483
0.8055 0.4986 0.7580
0.8055 0.5014 0.2580
```

Most intense lines, 2θ = 15–90°, by intensity:
| two_theta | d_spacing | I (rel.) |
| --- | --- | --- |
| 25.42 | 3.503 | 100 |
| 34.48 | 2.601 | 98 |
| 27.07 | 3.294 | 95 |
| 50.90 | 1.794 | 64 |
| 52.75 | 1.735 | 54 |
| 65.70 | 1.421 | 42 |
| 38.82 | 2.320 | 27 |
| 59.77 | 1.547 | 26 |
| 39.97 | 2.256 | 23 |
| 52.22 | 1.752 | 19 |

***

For Sr2MgMnO4, a structure optimized by DFT (GGA+U) gives the simulated powder diffractogram in this record (Cu Kα (weighted mean of Kα1 and Kα2)).

Structure:
```
Sr2MgMnO4
1.0
2.7616 -2.7624 0.0000
2.7616 2.7624 0.0000
-0.0261 0.0000 7.7586
Sr Mg Mn O
2 1 1 4
Direct
0.0000 0.0000 0.0000
0.5005 0.5005 0.3358
0.5009 0.5009 0.7750
0.0001 0.0001 0.5955
0.0006 0.5009 0.7082
0.0051 0.0051 0.3251
0.5009 0.0006 0.7082
0.5041 0.5041 0.0351
```

Most intense lines, 2θ = 15–90°, by intensity:
| two_theta | d_spacing | I (rel.) |
| --- | --- | --- |
| 32.44 | 2.760 | 100 |
| 46.50 | 1.953 | 35 |
| 32.57 | 2.749 | 35 |
| 25.53 | 3.489 | 29 |
| 34.69 | 2.586 | 22 |
| 57.87 | 1.593 | 20 |
| 48.17 | 1.889 | 17 |
| 77.24 | 1.235 | 13 |
| 67.87 | 1.381 | 10 |
| 57.99 | 1.590 | 9 |

***

For ZnW2O7, a structure optimized by DFT (GGA+U) gives the simulated powder diffractogram in this record (Cu Kα (weighted mean of Kα1 and Kα2)).

Structure:
```
ZnW2O7
1.0
6.3009 0.0000 0.0000
0.0000 7.1094 0.0000
-2.3073 0.0000 7.8954
Zn W O
2 4 14
Direct
0.1138 0.0000 0.1530
0.8862 0.5000 0.8470
0.1004 0.4854 0.2869
0.3534 0.5185 0.7218
0.6466 0.0185 0.2782
0.8996 0.9854 0.7131
0.0373 0.5874 0.0748
0.1090 0.3934 0.7424
0.1471 0.9566 0.6616
0.2022 0.2506 0.2721
0.2959 0.5987 0.4890
0.4016 0.8694 0.2271
0.4059 0.7021 0.8668
0.5941 0.2021 0.1332
0.5984 0.3694 0.7729
0.7041 0.0987 0.5110
0.7978 0.7506 0.7279
0.8529 0.4566 0.3384
0.8910 0.8934 0.2576
0.9627 0.0874 0.9252
```

Most intense lines, 2θ = 15–90°, by intensity:
| two_theta | d_spacing | I (rel.) |
| --- | --- | --- |
| 20.14 | 4.410 | 100 |
| 22.52 | 3.948 | 64 |
| 25.05 | 3.555 | 59 |
| 19.27 | 4.607 | 54 |
| 28.49 | 3.133 | 41 |
| 32.88 | 2.724 | 40 |
| 35.48 | 2.530 | 36 |
| 33.94 | 2.642 | 34 |
| 38.30 | 2.350 | 31 |
| 54.34 | 1.688 | 20 |

***

For LaZnFeMoO6, a structure optimized by DFT (GGA+U) gives the simulated powder diffractogram in this record (Cu Kα (weighted mean of Kα1 and Kα2)).

Structure:
```
LaZnFeMoO6
1.0
5.5346 0.0000 0.0000
-0.0026 5.9697 0.0000
-0.0778 -0.0186 7.7756
La Zn Fe Mo O
2 2 2 2 12
Direct
0.0000 0.0000 0.0000
0.4994 0.6391 0.5007
0.4984 0.6822 0.9947
0.9977 0.9554 0.4945
0.0162 0.5431 0.2438
0.5156 0.0941 0.7446
0.0200 0.5392 0.7513
0.5205 0.0985 0.2516
0.1539 0.6026 0.9960
0.1959 0.8577 0.6986
0.2238 0.8857 0.3061
0.3248 0.3907 0.6951
0.3451 0.3519 0.2939
0.4296 0.0630 0.0003
0.6535 0.0373 0.4964
0.6964 0.7816 0.1984
0.7241 0.7522 0.8065
0.8252 0.2478 0.1958
0.8446 0.2864 0.7946
0.9283 0.5755 0.5007
```

Most intense lines, 2θ = 15–90°, by intensity:
| two_theta | d_spacing | I (rel.) |
| --- | --- | --- |
| 31.99 | 2.797 | 100 |
| 31.76 | 2.818 | 97 |
| 32.35 | 2.767 | 54 |
| 34.13 | 2.627 | 45 |
| 57.65 | 1.599 | 35 |
| 44.65 | 2.029 | 33 |
| 29.94 | 2.985 | 33 |
| 46.73 | 1.944 | 31 |
| 27.38 | 3.258 | 31 |
| 18.74 | 4.735 | 27 |

***

For LiV2F9, a structure optimized by DFT (GGA+U) gives the simulated powder diffractogram in this record (Cu Kα (weighted mean of Kα1 and Kα2)).

Structure:
```
LiV2F9
1.0
7.8360 0.0000 0.0000
0.0000 10.7621 0.0000
0.0000 0.0000 8.2128
Li V F
4 8 36
Direct
0.0211 0.2500 0.1191
0.4789 0.7500 0.6191
0.5211 0.2500 0.3809
0.9789 0.7500 0.8809
0.1111 0.0690 0.7517
0.1111 0.4310 0.7517
0.3889 0.5690 0.2517
0.3889 0.9310 0.2517
0.6111 0.0690 0.7483
0.6111 0.4310 0.7483
0.8889 0.5690 0.2483
0.8889 0.9310 0.2483
0.1005 0.2500 0.7318
0.1088 0.6021 0.7799
0.1088 0.8979 0.7799
0.1130 0.0783 0.5370
0.1130 0.4217 0.5370
0.1227 0.1086 0.9685
0.1227 0.3914 0.9685
0.1374 0.5731 0.2400
0.1374 0.9269 0.2400
0.3626 0.0731 0.7400
0.3626 0.4269 0.7400
0.3773 0.6086 0.4685
0.3773 0.8914 0.4685
0.3870 0.5783 0.0370
0.3870 0.9217 0.0370
0.3912 0.1021 0.2799
0.3912 0.3979 0.2799
0.3995 0.7500 0.2318
0.6005 0.2500 0.7682
0.6088 0.6021 0.7201
0.6088 0.8979 0.7201
0.6130 0.0783 0.9630
0.6130 0.4217 0.9630
0.6227 0.1086 0.5315
0.6227 0.3914 0.5315
0.6374 0.5731 0.2600
0.6374 0.9269 0.2600
0.8626 0.0731 0.7600
0.8626 0.4269 0.7600
0.8773 0.6086 0.0315
0.8773 0.8914 0.0315
0.8870 0.5783 0.4630
0.8870 0.9217 0.4630
0.8912 0.1021 0.2201
0.8912 0.3979 0.2201
0.8995 0.7500 0.2682
```

Most intense lines, 2θ = 15–90°, by intensity:
| two_theta | d_spacing | I (rel.) |
| --- | --- | --- |
| 25.18 | 3.536 | 100 |
| 16.47 | 5.381 | 91 |
| 21.64 | 4.106 | 64 |
| 27.12 | 3.287 | 45 |
| 46.35 | 1.959 | 30 |
| 44.11 | 2.053 | 29 |
| 24.17 | 3.682 | 27 |
| 50.91 | 1.794 | 23 |
| 43.46 | 2.082 | 21 |
| 33.86 | 2.647 | 17 |